# Mg2Al3MoS8
Simulated XRD peak list, Cu Ka. Input: a cell relaxed with GGA-PBE.
Peak positions follow from Bragg's law for the DFT cell and can differ from measured ones.

Atomic structure:
```
14
Lattice="3.621 2.090 6.027 -3.621 2.090 6.027 0.000 -4.181 6.027" Properties=species:S:1:pos:R:3 pbc="T T T"
Mg 0.000 0.000 2.281
Mg 0.000 0.000 15.799
Al -1.810 -1.045 6.027
Al -1.810 1.045 12.054
Al 0.000 2.090 6.027
Mo 0.000 0.000 9.040
S 0.000 -1.905 7.416
S -1.650 0.953 7.416
S 0.000 0.000 4.737
S -1.650 -0.953 10.665
S 1.650 0.953 7.416
S 0.000 0.000 13.344
S 1.650 -0.953 10.665
S 0.000 1.905 10.665
```

Largest 6 diffraction maxima, in order of rising 2θ, 2θ from 10° to 90°:
d (Å)  two_theta  I_rel
5.925  14.95  80
3.104  28.76  56
2.576  34.82  100
1.982  45.77  29
1.833  49.73  51
1.810  50.41  50